(1)
Diffraction record for Pr4Er3TmSe8. The powder diffraction line list is simulated, not measured: it uses a DFT-relaxed cell (GGA-PBE, Alexandria) and Cu Kα, 1.54184 Å.
Kinematic intensities with the Lorentz-polarization factor, no thermal factor.

Cell and atoms:
```
data_Pr4Er3TmSe8
_symmetry_space_group_name_H-M 'P 1'
_symmetry_Int_Tables_number 1
_symmetry_space_group_name_Hall 'P 1'
_cell_length_a 8.4627
_cell_length_b 8.4627
_cell_length_c 8.4627
_cell_angle_alpha 57.58
_cell_angle_beta 57.58
_cell_angle_gamma 57.58
loop_
_atom_site_label
_atom_site_type_symbol
_atom_site_fract_x
_atom_site_fract_y
_atom_site_fract_z
Pr1 Pr 0.0000 0.0000 0.0000
Pr2 Pr 0.0000 0.5000 0.5000
Pr3 Pr 0.5000 0.0000 0.5000
Pr4 Pr 0.5000 0.5000 0.0000
Er1 Er 0.0000 0.0000 0.5000
Er2 Er 0.0000 0.5000 0.0000
Er3 Er 0.5000 0.0000 0.0000
Tm1 Tm 0.5000 0.5000 0.5000
Se1 Se 0.2426 0.2426 0.2426
Se2 Se 0.2433 0.7419 0.7419
Se3 Se 0.2581 0.2581 0.7567
Se4 Se 0.2581 0.7567 0.2581
Se5 Se 0.7419 0.2433 0.7419
Se6 Se 0.7419 0.7419 0.2433
Se7 Se 0.7567 0.2581 0.2581
Se8 Se 0.7574 0.7574 0.7574
```

Peak list (12 most intense, 2θ = 10–80°, sorted by position)
2θ/deg	intensity
25.33	6
26.63	14
30.47	100
42.80	38
44.46	36
51.86	5
52.01	7
54.86	19
63.42	12
70.77	16
73.18	16
77.22	6


(2)
Diffraction record for Li2Pm3Cd5. The powder diffraction line list is simulated, not measured: it uses a DFT-relaxed cell (GGA-PBE, Alexandria) and Cu Kα, 1.54184 Å.
Kinematic intensities with the Lorentz-polarization factor, no thermal factor.

Cell and atoms:
```
data_Li2Pm3Cd5
_symmetry_space_group_name_H-M 'P 1'
_symmetry_Int_Tables_number 1
_symmetry_space_group_name_Hall 'P 1'
_cell_length_a 10.7109
_cell_length_b 10.7109
_cell_length_c 4.1962
_cell_angle_alpha 90.00
_cell_angle_beta 90.00
_cell_angle_gamma 90.00
loop_
_atom_site_label
_atom_site_type_symbol
_atom_site_fract_x
_atom_site_fract_y
_atom_site_fract_z
Li1 Li 0.1139 0.3861 0.0000
Li2 Li 0.3861 0.8861 0.0000
Li3 Li 0.6139 0.1139 0.0000
Li4 Li 0.8861 0.6139 0.0000
Pm1 Pm 0.0000 0.0000 0.0000
Pm2 Pm 0.1796 0.6796 0.0000
Pm3 Pm 0.3204 0.1796 0.0000
Pm4 Pm 0.5000 0.5000 0.0000
Pm5 Pm 0.6796 0.8204 0.0000
Pm6 Pm 0.8204 0.3204 0.0000
Cd1 Cd 0.0000 0.5000 0.5000
Cd2 Cd 0.0606 0.2194 0.5000
Cd3 Cd 0.2194 0.9394 0.5000
Cd4 Cd 0.2806 0.4394 0.5000
Cd5 Cd 0.4394 0.7194 0.5000
Cd6 Cd 0.5000 0.0000 0.5000
Cd7 Cd 0.5606 0.2806 0.5000
Cd8 Cd 0.7194 0.5606 0.5000
Cd9 Cd 0.7806 0.0606 0.5000
Cd10 Cd 0.9394 0.7806 0.5000
```

Peak list (12 most intense, 2θ = 10–80°, sorted by position)
2θ/deg	intensity
28.27	72
31.83	53
33.46	15
34.02	100
34.53	61
37.08	25
37.55	27
43.11	30
54.53	15
56.37	29
59.49	17
65.52	17